Record 1
Starting from a cell relaxed with PBE, the PXRD pattern of Ce3Al2Zn9 was calculated for copper Kα.
Neutral-atom scattering factors, no anomalous dispersion.

Most intense lines, 15 to 90 degrees two-theta, sorted by position:
(hkl)	d/Å	Position (°2θ)	Rel. int.
1 0 3	3.175	28.11	20
0 2 4	2.652	33.80	37
1 2 3	2.567	34.96	100
1 3 0	2.443	36.78	42
1 3 2	2.295	39.26	18
2 0 0	2.261	39.87	39
1 4 1	1.941	46.79	13
2 2 4	1.721	53.24	20
1 4 7	1.369	68.56	19
3 2 3	1.357	69.23	13

Atomic structure:
```
data_Ce3Al2Zn9
_chemical_formula_sum 'Ce6 Al4 Zn18'
_symmetry_space_group_name_H-M 'I m m m'
_symmetry_Int_Tables_number 71
_symmetry_space_group_name_Hall '-I 2 2'
_cell_length_a 4.5224
_cell_length_b 8.7112
_cell_length_c 13.3727
_cell_angle_alpha 90.00
_cell_angle_beta 90.00
_cell_angle_gamma 90.00
loop_
_atom_site_label
_atom_site_type_symbol
_atom_site_fract_x
_atom_site_fract_y
_atom_site_fract_z
_atom_site_occupancy
Ce1 Ce 0.0000 0.0000 0.0000 1
Ce2 Ce 0.0000 0.0000 0.2872 1
Al1 Al 0.0000 0.1763 0.5000 1
Zn1 Zn 0.0000 0.2877 0.1443 1
Zn2 Zn 0.0000 0.3578 0.3463 1
Zn3 Zn 0.0000 0.5000 0.0000 1
```



Record 2
Starting from a cell relaxed with PBE, the PXRD pattern of Al3Cl4 was calculated for copper Kα.
Neutral-atom scattering factors, no anomalous dispersion.

Most intense lines, 15 to 90 degrees two-theta, sorted by position:
(hkl)	d/Å	Position (°2θ)	Rel. int.
1 1 0	3.018	29.60	97
2 0 0	2.613	34.31	63
1 1 1	2.576	34.82	88
2 0 1	2.311	38.98	84
1 0 2	2.236	40.34	100
3 0 1	1.643	55.96	19
2 1 2	1.544	59.92	55
2 2 0	1.509	61.45	36
2 0 3	1.395	67.12	17
3 1 2	1.251	76.11	26

Atomic structure:
```
data_Al3Cl4
_chemical_formula_sum 'Al3 Cl4'
_symmetry_space_group_name_H-M 'P 6/m m m'
_symmetry_Int_Tables_number 191
_symmetry_space_group_name_Hall '-P 6 2'
_cell_length_a 6.0352
_cell_length_b 6.0352
_cell_length_c 4.9472
_cell_angle_alpha 90.00
_cell_angle_beta 90.00
_cell_angle_gamma 120.00
loop_
_atom_site_label
_atom_site_type_symbol
_atom_site_fract_x
_atom_site_fract_y
_atom_site_fract_z
_atom_site_occupancy
Al1 Al 0.0000 0.5000 0.0000 1
Cl1 Cl 0.0000 0.0000 0.2530 1
Cl2 Cl 0.3333 0.6667 0.5000 1
```



Record 3
Starting from a cell relaxed with PBE, the PXRD pattern of Al4Cl5 was calculated for copper Kα.
Neutral-atom scattering factors, no anomalous dispersion.

Most intense lines, 15 to 90 degrees two-theta, sorted by position:
(hkl)	d/Å	Position (°2θ)	Rel. int.
3 1 0	4.229	21.00	51
3 0 1	2.828	31.63	100
5 1 0	2.623	34.18	24
3 2 1	2.605	34.43	38
4 1 1	2.427	37.04	77
4 4 0	2.364	38.06	25
6 0 0	2.229	40.47	34
5 0 1	2.159	41.83	66
5 5 0	1.891	48.11	17
7 3 0	1.756	52.08	22

Atomic structure:
```
data_Al4Cl5
_chemical_formula_sum 'Al8 Cl10'
_symmetry_space_group_name_H-M 'I 4/m m m'
_symmetry_Int_Tables_number 139
_symmetry_space_group_name_Hall '-I 4 2'
_cell_length_a 13.3748
_cell_length_b 13.3748
_cell_length_c 3.6590
_cell_angle_alpha 90.00
_cell_angle_beta 90.00
_cell_angle_gamma 90.00
loop_
_atom_site_label
_atom_site_type_symbol
_atom_site_fract_x
_atom_site_fract_y
_atom_site_fract_z
_atom_site_occupancy
Al1 Al 0.0000 0.1978 0.0000 1
Cl1 Cl 0.0000 0.0000 0.0000 1
Cl2 Cl 0.1468 0.1468 0.5000 1
```



Record 4
Starting from a cell relaxed with PBE, the PXRD pattern of AlCl was calculated for copper Kα.
Neutral-atom scattering factors, no anomalous dispersion.

Most intense lines, 15 to 90 degrees two-theta, sorted by position:
(hkl)	d/Å	Position (°2θ)	Rel. int.
2 0 0	4.373	20.31	16
2 1 0	3.912	22.73	10
2 0 1	3.445	25.86	100
2 1 1	3.205	27.83	51
3 0 1	2.585	34.70	10
2 1 2	2.275	39.62	10
4 1 0	2.121	42.62	17
2 2 2	2.074	43.64	29
4 1 1	1.983	45.74	20
4 2 1	1.846	49.36	10

Atomic structure:
```
data_AlCl
_chemical_formula_sum 'Al8 Cl8'
_symmetry_space_group_name_H-M 'P 43 21 2'
_symmetry_Int_Tables_number 96
_symmetry_space_group_name_Hall 'P 4nw 2abw'
_cell_length_a 8.7468
_cell_length_b 8.7468
_cell_length_c 5.5914
_cell_angle_alpha 90.00
_cell_angle_beta 90.00
_cell_angle_gamma 90.00
loop_
_atom_site_label
_atom_site_type_symbol
_atom_site_fract_x
_atom_site_fract_y
_atom_site_fract_z
_atom_site_occupancy
Al1 Al 0.0901 0.3420 0.2128 1
Cl1 Cl 0.1132 0.1132 0.0000 1
Cl2 Cl 0.2220 0.7780 0.2500 1
```



Record 5
Starting from a cell relaxed with PBE, the PXRD pattern of AlCl7 was calculated for copper Kα.
Neutral-atom scattering factors, no anomalous dispersion.

Most intense lines, 15 to 90 degrees two-theta, sorted by position:
(hkl)	d/Å	Position (°2θ)	Rel. int.
1 1 1	5.039	17.60	1
2 2 2	2.520	35.63	100
4 0 0	2.182	41.38	47
4 4 0	1.543	59.95	27
6 2 2	1.316	71.73	31
4 4 4	1.260	75.46	9
8 0 0	1.091	89.92	5

Atomic structure:
```
data_AlCl7
_chemical_formula_sum 'Al4 Cl28'
_symmetry_space_group_name_H-M 'F m -3 m'
_symmetry_Int_Tables_number 225
_symmetry_space_group_name_Hall '-F 4 2 3'
_cell_length_a 8.7280
_cell_length_b 8.7280
_cell_length_c 8.7280
_cell_angle_alpha 90.00
_cell_angle_beta 90.00
_cell_angle_gamma 90.00
loop_
_atom_site_label
_atom_site_type_symbol
_atom_site_fract_x
_atom_site_fract_y
_atom_site_fract_z
_atom_site_occupancy
Al1 Al 0.0000 0.0000 0.0000 1
Cl1 Cl 0.0000 0.0000 0.5000 1
Cl2 Cl 0.0000 0.2500 0.2500 1
```



Record 6
Starting from a cell relaxed with PBE, the PXRD pattern of AlCl was calculated for copper Kα.
Neutral-atom scattering factors, no anomalous dispersion.

Most intense lines, 15 to 90 degrees two-theta, sorted by position:
(hkl)	d/Å	Position (°2θ)	Rel. int.
3 0 1	3.651	24.38	47
2 1 0	3.283	27.17	100
1 1 1	3.181	28.05	31
2 0 2	2.934	30.47	22
4 1 0	2.487	36.12	15
5 1 1	2.055	44.06	24
4 1 2	1.981	45.81	21
3 0 3	1.956	46.43	14
0 2 0	1.893	48.06	15
3 1 3	1.738	52.67	18

Atomic structure:
```
data_AlCl
_chemical_formula_sum 'Al6 Cl6'
_symmetry_space_group_name_H-M 'P m n 21'
_symmetry_Int_Tables_number 31
_symmetry_space_group_name_Hall 'P 2ac -2'
_cell_length_a 13.1915
_cell_length_b 3.7862
_cell_length_c 6.5514
_cell_angle_alpha 90.00
_cell_angle_beta 90.00
_cell_angle_gamma 90.00
loop_
_atom_site_label
_atom_site_type_symbol
_atom_site_fract_x
_atom_site_fract_y
_atom_site_fract_z
_atom_site_occupancy
Al1 Al 0.0000 0.0011 0.0000 1
Al2 Al 0.1392 0.5007 0.9125 1
Cl1 Cl 0.0000 0.0064 0.3311 1
Cl2 Cl 0.2045 0.5077 0.5799 1
```



Record 7
Starting from a cell relaxed with PBE, the PXRD pattern of AlCoPCl2 was calculated for copper Kα.
Neutral-atom scattering factors, no anomalous dispersion.

Most intense lines, 15 to 90 degrees two-theta, sorted by position:
(hkl)	d/Å	Position (°2θ)	Rel. int.
1 0 0	4.887	18.15	77
0 0 1	4.253	20.89	37
1 0 1	3.208	27.81	40
1 1 1	2.682	33.41	33
2 0 0	2.443	36.78	100
0 0 2	2.126	42.52	32
2 0 1	2.119	42.68	20
2 2 0	1.728	53.00	32
2 0 2	1.604	57.45	49
2 2 2	1.341	70.19	26

Atomic structure:
```
data_AlCoPCl2
_chemical_formula_sum 'Al1 Co1 P1 Cl2'
_symmetry_space_group_name_H-M 'P 4/m m m'
_symmetry_Int_Tables_number 123
_symmetry_space_group_name_Hall '-P 4 2'
_cell_length_a 4.8867
_cell_length_b 4.8867
_cell_length_c 4.2525
_cell_angle_alpha 90.00
_cell_angle_beta 90.00
_cell_angle_gamma 90.00
loop_
_atom_site_label
_atom_site_type_symbol
_atom_site_fract_x
_atom_site_fract_y
_atom_site_fract_z
_atom_site_occupancy
Al1 Al 0.0000 0.0000 0.0000 1
Co1 Co 0.5000 0.5000 0.5000 1
P1 P 0.5000 0.5000 0.0000 1
Cl1 Cl 0.0000 0.5000 0.5000 1
```



Record 8
Starting from a cell relaxed with PBE, the PXRD pattern of Al2CrCl8 was calculated for copper Kα.
Neutral-atom scattering factors, no anomalous dispersion.

Most intense lines, 15 to 90 degrees two-theta, sorted by position:
(hkl)	d/Å	Position (°2θ)	Rel. int.
2 0 2	5.354	16.56	57
2 1 0	4.933	17.98	29
3 1 1	3.916	22.71	26
4 0 2	3.511	25.37	26
0 2 0	3.121	28.60	35
0 1 4	3.106	28.74	57
4 1 2	3.060	29.19	100
4 2 2	2.332	38.60	47
4 0 6	2.054	44.08	41
8 0 0	2.014	45.02	29

Atomic structure:
```
data_Al2CrCl8
_chemical_formula_sum 'Al8 Cr4 Cl32'
_symmetry_space_group_name_H-M 'P c a 21'
_symmetry_Int_Tables_number 29
_symmetry_space_group_name_Hall 'P 2c -2ac'
_cell_length_a 16.1082
_cell_length_b 6.2414
_cell_length_c 14.3313
_cell_angle_alpha 90.00
_cell_angle_beta 90.00
_cell_angle_gamma 90.00
loop_
_atom_site_label
_atom_site_type_symbol
_atom_site_fract_x
_atom_site_fract_y
_atom_site_fract_z
_atom_site_occupancy
Al1 Al 0.0009 0.0932 0.0000 1
Al2 Al 0.2478 0.5989 0.1808 1
Cr1 Cr 0.1259 0.2514 0.5907 1
Cl1 Cl 0.0074 0.5663 0.5055 1
Cl2 Cl 0.0079 0.0490 0.6420 1
Cl3 Cl 0.1040 0.9776 0.9257 1
Cl4 Cl 0.1174 0.0486 0.4491 1
Cl5 Cl 0.1343 0.4554 0.7322 1
Cl6 Cl 0.1441 0.4870 0.2553 1
Cl7 Cl 0.2435 0.4551 0.5391 1
Cl8 Cl 0.2433 0.9395 0.6749 1
```



Record 9
Starting from a cell relaxed with PBE, the PXRD pattern of Al2CrCl8 was calculated for copper Kα.
Neutral-atom scattering factors, no anomalous dispersion.

Most intense lines, 15 to 90 degrees two-theta, sorted by position:
(hkl)	d/Å	Position (°2θ)	Rel. int.
1 1 1	5.002	17.73	19
3 1 -1	4.899	18.11	35
1 1 -2	4.651	19.08	28
4 2 -2	3.114	28.67	100
2 0 2	3.043	29.35	43
4 0 -4	2.938	30.42	19
0 0 4	2.284	39.44	24
8 0 -4	2.208	40.86	20
0 4 0	2.195	41.13	19
6 2 0	2.053	44.12	33

Atomic structure:
```
data_Al2CrCl8
_chemical_formula_sum 'Al8 Cr4 Cl32'
_symmetry_space_group_name_H-M 'C 1 2/c 1'
_symmetry_Int_Tables_number 15
_symmetry_space_group_name_Hall '-C 2yc'
_cell_length_a 17.9212
_cell_length_b 8.7832
_cell_length_c 11.7594
_cell_angle_alpha 90.00
_cell_angle_beta 128.98
_cell_angle_gamma 90.00
loop_
_atom_site_label
_atom_site_type_symbol
_atom_site_fract_x
_atom_site_fract_y
_atom_site_fract_z
_atom_site_occupancy
Al1 Al 0.0810 0.2383 0.0333 1
Cr1 Cr 0.0000 0.0202 0.7500 1
Cl1 Cl 0.0646 0.2242 0.6733 1
Cl2 Cl 0.0843 0.2015 0.2191 1
Cl3 Cl 0.1412 0.0353 0.0032 1
Cl4 Cl 0.1542 0.4392 0.0603 1
```



Record 10
Starting from a cell relaxed with PBE, the PXRD pattern of Rb2AlCrCl6 was calculated for copper Kα.
Neutral-atom scattering factors, no anomalous dispersion.

Most intense lines, 15 to 90 degrees two-theta, sorted by position:
(hkl)	d/Å	Position (°2θ)	Rel. int.
2 0 0	3.569	24.95	79
2 0 2	2.914	30.68	88
2 2 0	2.524	35.57	100
2 0 4	2.061	43.94	34
4 0 0	1.784	51.19	63
4 2 2	1.523	60.84	20
4 0 4	1.457	63.89	21
4 2 4	1.349	69.71	18
4 2 6	1.158	83.49	12
6 2 0	1.129	86.12	18

Atomic structure:
```
data_Rb2AlCrCl6
_chemical_formula_sum 'Rb4 Al2 Cr2 Cl12'
_symmetry_space_group_name_H-M 'I 4/m m m'
_symmetry_Int_Tables_number 139
_symmetry_space_group_name_Hall '-I 4 2'
_cell_length_a 7.1427
_cell_length_b 7.1427
_cell_length_c 10.0805
_cell_angle_alpha 90.00
_cell_angle_beta 90.00
_cell_angle_gamma 90.00
loop_
_atom_site_label
_atom_site_type_symbol
_atom_site_fract_x
_atom_site_fract_y
_atom_site_fract_z
_atom_site_occupancy
Rb1 Rb 0.0000 0.5000 0.2500 1
Al1 Al 0.0000 0.0000 0.0000 1
Cr1 Cr 0.0000 0.0000 0.5000 1
Cl1 Cl 0.0000 0.0000 0.2380 1
Cl2 Cl 0.2373 0.2373 0.0000 1
```



Record 11
Starting from a cell relaxed with PBE, the PXRD pattern of CsAlCl14 was calculated for copper Kα.
Neutral-atom scattering factors, no anomalous dispersion.

Most intense lines, 15 to 90 degrees two-theta, sorted by position:
(hkl)	d/Å	Position (°2θ)	Rel. int.
0 2 0	5.891	15.04	39
1 2 0	4.271	20.80	91
1 2 -1	4.129	21.52	100
0 2 2	3.603	24.71	22
1 3 0	3.318	26.87	48
2 0 -1	3.168	28.16	32
2 1 -1	3.060	29.19	24
0 4 0	2.942	30.38	30
1 3 2	2.535	35.41	26
2 1 2	2.280	39.52	21

Atomic structure:
```
data_CsAlCl14
_chemical_formula_sum 'Cs1 Al1 Cl14'
_symmetry_space_group_name_H-M 'P 1 m 1'
_symmetry_Int_Tables_number 6
_symmetry_space_group_name_Hall 'P -2y'
_cell_length_a 6.3760
_cell_length_b 11.7821
_cell_length_c 9.3575
_cell_angle_alpha 90.00
_cell_angle_beta 103.45
_cell_angle_gamma 90.00
loop_
_atom_site_label
_atom_site_type_symbol
_atom_site_fract_x
_atom_site_fract_y
_atom_site_fract_z
_atom_site_occupancy
Cs1 Cs 0.0000 0.0000 0.0000 1
Al1 Al 0.3382 0.0000 0.6168 1
Cl1 Cl 0.0941 0.5000 0.7117 1
Cl2 Cl 0.1516 0.0000 0.3944 1
Cl3 Cl 0.1814 0.5000 0.0432 1
Cl4 Cl 0.1827 0.5000 0.2589 1
Cl5 Cl 0.2485 0.1496 0.7274 1
Cl6 Cl 0.3335 0.5000 0.6078 1
Cl7 Cl 0.5086 0.1653 0.0300 1
Cl8 Cl 0.6403 0.2818 0.2351 1
Cl9 Cl 0.6776 0.0000 0.6332 1
Cl10 Cl 0.7830 0.3179 0.4560 1
```



Record 12
Starting from a cell relaxed with PBE, the PXRD pattern of Cs3AlCl6 was calculated for copper Kα.
Neutral-atom scattering factors, no anomalous dispersion.

Most intense lines, 15 to 90 degrees two-theta, sorted by position:
(hkl)	d/Å	Position (°2θ)	Rel. int.
2 2 0	3.976	22.36	100
3 1 1	3.390	26.29	14
2 2 2	3.246	27.48	27
4 0 0	2.811	31.83	56
3 3 1	2.580	34.78	17
4 2 2	2.295	39.25	38
4 4 0	1.988	45.64	35
6 2 0	1.778	51.39	28
6 4 2	1.503	61.73	28
10 2 0	1.103	88.72	16

Atomic structure:
```
data_Cs3AlCl6
_chemical_formula_sum 'Cs12 Al4 Cl24'
_symmetry_space_group_name_H-M 'F m -3 m'
_symmetry_Int_Tables_number 225
_symmetry_space_group_name_Hall '-F 4 2 3'
_cell_length_a 11.2446
_cell_length_b 11.2446
_cell_length_c 11.2446
_cell_angle_alpha 90.00
_cell_angle_beta 90.00
_cell_angle_gamma 90.00
loop_
_atom_site_label
_atom_site_type_symbol
_atom_site_fract_x
_atom_site_fract_y
_atom_site_fract_z
_atom_site_occupancy
Cs1 Cs 0.0000 0.0000 0.0000 1
Cs2 Cs 0.2500 0.2500 0.2500 1
Al1 Al 0.0000 0.0000 0.5000 1
Cl1 Cl 0.0000 0.0000 0.2908 1
```